Calculated X-ray powder pattern of TlBS3 for a wavelength of 1.5418 Å, from a cell relaxed with GGA-PBE.

Peak list (10 most intense, 10° ≤ 2θ ≤ 80°, by angle)
h k l  d (Å)  Rel. int.
1 1 -1  4.854  86.7
0 2 1  4.014  86.0
1 3 0  3.437  72.1
1 1 1  3.354  54.1
2 0 0  3.236  28.3
2 2 -1  3.000  100.0
0 0 2  2.671  36.1
0 4 1  2.644  73.5
2 2 1  2.215  43.7
3 3 0  1.903  29.9

Cell and atoms:
Unit cell a=7.0676 b=12.1701 c=5.8318 alpha=90.00 beta=113.67 gamma=90.00
Space group P2_1/c (No. 14)
One atom of each set of equivalent atoms:
Tl1 0.2479 0.0897 0.2252 (multiplicity 4)
B1 0.2997 0.7305 0.3590 (multiplicity 4)
S1 0.0589 0.6825 0.8315 (multiplicity 4)
S2 0.1895 0.5990 0.1716 (multiplicity 4)
S3 0.4630 0.6989 0.7035 (multiplicity 4)



Calculated X-ray powder pattern of Te2Mo2WSe2S2 for a wavelength of 1.5418 Å, from a cell relaxed with GGA-PBE.

Peak list (10 most intense, 10° ≤ 2θ ≤ 80°, by angle)
h k l  d (Å)  Rel. int.
0 0 4  7.736  100.0
0 0 5  6.189  19.9
1 0 0  2.898  43.2
0 1 1  2.885  14.7
0 1 6  2.526  50.8
1 0 7  2.424  60.0
0 1 10  2.115  22.1
0 1 11  2.018  40.1
1 1 0  1.672  29.4
1 1 17  1.232  12.6

Cell and atoms:
Unit cell a=3.3461 b=3.3461 c=30.9448 alpha=90.00 beta=90.00 gamma=120.00
Space group P3m1 (No. 156)
One atom of each set of equivalent atoms:
Te1 0.0000 0.0000 0.0000 (multiplicity 1)
Te2 0.0000 0.0000 0.1224 (multiplicity 1)
Mo1 0.6667 0.3333 0.0612 (multiplicity 1)
Mo2 0.6667 0.3333 0.5985 (multiplicity 1)
W1 0.0000 0.0000 0.8299 (multiplicity 1)
Se1 0.0000 0.0000 0.5447 (multiplicity 1)
Se2 0.0000 0.0000 0.6524 (multiplicity 1)
S1 0.6667 0.3333 0.7807 (multiplicity 1)
S2 0.6667 0.3333 0.8790 (multiplicity 1)



Calculated X-ray powder pattern of PrNiSn for a wavelength of 1.5418 Å, from a cell relaxed with GGA-PBE.

Peak list (10 most intense, 10° ≤ 2θ ≤ 80°, by angle)
h k l  d (Å)  Rel. int.
2 1 1  2.743  100.0
1 1 2  2.726  70.3
2 0 2  2.672  29.6
3 0 1  2.406  36.1
0 2 0  2.326  46.4
0 1 3  2.202  45.7
2 2 2  1.754  16.9
3 2 1  1.672  23.6
3 1 4  1.435  26.4
2 3 1  1.410  13.2

Cell and atoms:
Unit cell a=7.6201 b=4.6512 c=7.4976 alpha=90.00 beta=90.00 gamma=90.00
Space group Pnma (No. 62)
One atom of each set of equivalent atoms:
Pr1 0.0259 0.2500 0.1927 (multiplicity 4)
Ni1 0.1796 0.7500 0.4218 (multiplicity 4)
Sn1 0.1832 0.2500 0.5963 (multiplicity 4)



Calculated X-ray powder pattern of Mg3Mn for a wavelength of 1.5418 Å, from a cell relaxed with GGA-PBE.

Peak list (10 most intense, 10° ≤ 2θ ≤ 80°, by angle)
h k l  d (Å)  Rel. int.
1 0 0  4.595  20.6
0 1 1  4.121  74.4
1 0 1  3.680  20.9
1 0 -2  3.557  29.3
1 1 2  2.402  100.0
0 2 0  2.364  98.2
1 1 -3  2.344  86.3
2 2 -1  1.671  31.1
1 3 2  1.371  26.7
3 1 -4  1.350  15.7

Cell and atoms:
Unit cell a=4.7330 b=4.7252 c=8.6722 alpha=90.00 beta=103.86 gamma=90.00
Space group P2_1/m (No. 11)
One atom of each set of equivalent atoms:
Mg1 0.0410 0.2500 0.1189 (multiplicity 2)
Mg2 0.2654 0.2500 0.4944 (multiplicity 2)
Mg3 0.4426 0.2500 0.8659 (multiplicity 2)
Mn1 0.1373 0.7500 0.3052 (multiplicity 2)



Calculated X-ray powder pattern of PrCdHg2 for a wavelength of 1.5418 Å, from a cell relaxed with GGA-PBE.

Peak list (8 most intense, 10° ≤ 2θ ≤ 80°, by angle)
h k l  d (Å)  Rel. int.
2 0 0  3.699  5.5
2 2 0  2.615  100.0
2 2 2  2.135  1.9
4 0 0  1.849  18.1
4 2 0  1.654  2.7
4 2 2  1.510  37.3
4 4 0  1.308  11.6
6 0 0  1.233  1.4

Cell and atoms:
Unit cell a=7.3973 b=7.3973 c=7.3973 alpha=90.00 beta=90.00 gamma=90.00
Space group Fm-3m (No. 225)
One atom of each set of equivalent atoms:
Pr1 0.0000 0.0000 0.0000 (multiplicity 4)
Cd1 0.0000 0.0000 0.5000 (multiplicity 4)
Hg1 0.2500 0.2500 0.2500 (multiplicity 8)



Calculated X-ray powder pattern of Li10SnP2Se12 for a wavelength of 1.5418 Å, from a cell relaxed with GGA-PBE.

Peak list (10 most intense, 10° ≤ 2θ ≤ 80°, by angle)
h k l  d (Å)  Rel. int.
1 -1 0  6.542  45.5
0 2 -3  3.351  52.0
2 2 0  3.271  89.1
2 0 -3  3.251  78.5
0 2 3  3.233  100.0
2 0 3  3.209  80.8
0 3 -1  3.088  31.7
4 0 0  2.271  41.8
2 -3 4  2.093  30.5
2 2 6  1.849  33.5

Cell and atoms:
Unit cell a=9.0831 b=9.4342 c=13.7964 alpha=92.06 beta=90.72 gamma=90.18
Space group P1 (No. 1)
One atom of each set of equivalent atoms:
Li1 0.0000 0.0000 0.0000 (multiplicity 1)
Li2 0.0023 0.5335 0.8874 (multiplicity 1)
Li3 0.0093 0.9880 0.2832 (multiplicity 1)
Li4 0.0112 0.4957 0.1187 (multiplicity 1)
Li5 0.0169 0.5346 0.6409 (multiplicity 1)
Li6 0.0285 0.0642 0.7930 (multiplicity 1)
Li7 0.2308 0.2877 0.3858 (multiplicity 1)
Li8 0.2660 0.7686 0.6861 (multiplicity 1)
Li9 0.2785 0.7398 0.1792 (multiplicity 1)
Li10 0.5051 0.0342 0.4917 (multiplicity 1)
Li11 0.5094 0.0369 0.7665 (multiplicity 1)
Li12 0.5116 0.5233 0.9179 (multiplicity 1)
Li13 0.5147 0.5346 0.6434 (multiplicity 1)
Li14 0.5212 0.9921 0.9858 (multiplicity 1)
Li15 0.5339 0.4997 0.3227 (multiplicity 1)
Li16 0.5542 0.9906 0.2594 (multiplicity 1)
Li17 0.7337 0.2925 0.0620 (multiplicity 1)
Li18 0.7580 0.2914 0.5868 (multiplicity 1)
Li19 0.9842 0.5915 0.3891 (multiplicity 1)
Li20 0.9908 0.0369 0.5544 (multiplicity 1)
Sn1 0.2795 0.7660 0.4505 (multiplicity 1)
Sn2 0.7649 0.2647 0.8178 (multiplicity 1)
P1 0.2568 0.7854 0.9454 (multiplicity 1)
P2 0.2614 0.2904 0.6272 (multiplicity 1)
P3 0.7615 0.7412 0.1362 (multiplicity 1)
P4 0.7778 0.2567 0.3182 (multiplicity 1)
Se1 0.0370 0.7640 0.5450 (multiplicity 1)
Se2 0.0566 0.8064 0.8514 (multiplicity 1)
Se3 0.0592 0.3090 0.5329 (multiplicity 1)
Se4 0.2547 0.0806 0.6941 (multiplicity 1)
Se5 0.2553 0.5717 0.0097 (multiplicity 1)
Se6 0.2577 0.5566 0.3266 (multiplicity 1)
Se7 0.2654 0.4734 0.7349 (multiplicity 1)
Se8 0.2649 0.9572 0.0607 (multiplicity 1)
Se9 0.2884 0.9913 0.3499 (multiplicity 1)
Se10 0.4584 0.3094 0.5315 (multiplicity 1)
Se11 0.4593 0.7889 0.8539 (multiplicity 1)
Se12 0.5005 0.7784 0.5644 (multiplicity 1)
Se13 0.5311 0.2408 0.9148 (multiplicity 1)
Se14 0.5653 0.7211 0.2273 (multiplicity 1)
Se15 0.5798 0.2667 0.2215 (multiplicity 1)
Se16 0.7571 0.9568 0.0780 (multiplicity 1)
Se17 0.7603 0.4396 0.4256 (multiplicity 1)
Se18 0.7699 0.5013 0.7329 (multiplicity 1)
Se19 0.7728 0.0510 0.3948 (multiplicity 1)
Se20 0.7750 0.0566 0.6928 (multiplicity 1)
Se21 0.7747 0.5652 0.0215 (multiplicity 1)
Se22 0.9705 0.7205 0.2245 (multiplicity 1)
Se23 0.9858 0.2540 0.9336 (multiplicity 1)
Se24 0.9861 0.2601 0.2336 (multiplicity 1)



Calculated X-ray powder pattern of Rh3Se for a wavelength of 1.5418 Å, from a cell relaxed with GGA-PBE.

Peak list (10 most intense, 10° ≤ 2θ ≤ 80°, by angle)
h k l  d (Å)  Rel. int.
1 0 0  4.850  1.2
1 0 1  3.278  1.1
2 0 0  2.425  24.5
0 0 2  2.224  25.4
2 0 1  2.129  100.0
2 1 1  1.695  0.6
2 0 2  1.639  14.5
2 2 0  1.400  16.8
2 0 3  1.265  18.0
4 0 0  1.212  2.6

Cell and atoms:
Unit cell a=5.6003 b=5.6003 c=4.4488 alpha=90.00 beta=90.00 gamma=120.00
Space group P6_3/mmc (No. 194)
One atom of each set of equivalent atoms:
Rh1 0.1646 0.3293 0.2500 (multiplicity 6)
Se1 0.3333 0.6667 0.7500 (multiplicity 2)



Calculated X-ray powder pattern of Ho5NiPb3 for a wavelength of 1.5418 Å, from a cell relaxed with GGA-PBE.

Peak list (10 most intense, 10° ≤ 2θ ≤ 80°, by angle)
h k l  d (Å)  Rel. int.
0 0 2  3.342  18.7
2 1 0  2.992  17.5
2 1 1  2.731  100.0
1 1 2  2.697  80.4
3 0 0  2.638  39.1
3 1 1  2.086  17.9
2 2 2  1.886  16.0
2 1 3  1.787  29.1
0 0 4  1.671  11.6
5 0 2  1.431  19.1

Cell and atoms:
Unit cell a=9.1395 b=9.1395 c=6.6836 alpha=90.00 beta=90.00 gamma=120.00
Space group P6_3/mcm (No. 193)
One atom of each set of equivalent atoms:
Ho1 0.0000 0.2370 0.2500 (multiplicity 6)
Ho2 0.3333 0.6667 0.0000 (multiplicity 4)
Ni1 0.0000 0.0000 0.0000 (multiplicity 2)
Pb1 0.0000 0.3999 0.7500 (multiplicity 6)



Calculated X-ray powder pattern of H10PbC6S2IN for a wavelength of 1.5418 Å, from a cell relaxed with GGA-PBE.

Peak list (10 most intense, 10° ≤ 2θ ≤ 80°, by angle)
h k l  d (Å)  Rel. int.
0 1 -2  6.034  77.3
0 1 2  4.281  47.0
1 1 -1  4.260  33.8
1 -2 1  4.071  100.0
1 -2 2  3.590  46.0
1 2 -1  3.465  39.6
1 1 -3  3.271  57.3
0 2 2  3.260  42.5
0 1 3  3.134  40.5
1 -3 3  2.828  37.7

Cell and atoms:
Unit cell a=4.9997 b=11.9455 c=12.2088 alpha=112.35 beta=95.17 gamma=100.39
Space group P-1 (No. 2)
One atom of each set of equivalent atoms:
H1 0.0289 0.4495 0.3788 (multiplicity 2)
H2 0.0363 0.0880 0.1119 (multiplicity 2)
H3 0.0743 0.1878 0.9596 (multiplicity 2)
H4 0.1135 0.7838 0.6949 (multiplicity 2)
H5 0.1234 0.6332 0.9462 (multiplicity 2)
H6 0.2264 0.4222 0.0462 (multiplicity 2)
H7 0.2389 0.2699 0.3015 (multiplicity 2)
H8 0.2415 0.6188 0.7486 (multiplicity 2)
H9 0.2446 0.8482 0.9114 (multiplicity 2)
H10 0.3607 0.2482 0.0790 (multiplicity 2)
Pb1 0.2409 0.1803 0.5995 (multiplicity 2)
C1 0.0224 0.8239 0.8745 (multiplicity 2)
C2 0.0233 0.6115 0.7172 (multiplicity 2)
C3 0.0263 0.2591 0.2597 (multiplicity 2)
C4 0.0925 0.3723 0.0874 (multiplicity 2)
C5 0.1385 0.2415 0.0573 (multiplicity 2)
C6 0.3240 0.5581 0.2715 (multiplicity 2)
S1 0.3379 0.6501 0.4225 (multiplicity 2)
S2 0.4574 0.3883 0.8090 (multiplicity 2)
I1 0.4153 0.9688 0.3154 (multiplicity 2)
N1 0.1454 0.4469 0.2179 (multiplicity 2)



Calculated X-ray powder pattern of Ho2Fe17N3 for a wavelength of 1.5418 Å, from a cell relaxed with GGA-PBE.

Peak list (10 most intense, 10° ≤ 2θ ≤ 80°, by angle)
h k l  d (Å)  Rel. int.
1 1 2  3.008  46.4
2 1 1  2.679  18.2
3 0 0  2.493  39.5
2 0 3  2.239  37.6
2 2 0  2.159  77.1
3 0 2  2.143  100.0
0 0 4  2.097  36.6
2 1 3  1.988  21.3
4 1 2  1.521  22.7
2 2 4  1.504  22.1

Cell and atoms:
Unit cell a=8.6350 b=8.6350 c=8.3889 alpha=90.00 beta=90.00 gamma=120.00
Space group P6_3/mmc (No. 194)
One atom of each set of equivalent atoms:
Ho1 0.0000 0.0000 0.2500 (multiplicity 2)
Ho2 0.3333 0.6667 0.2500 (multiplicity 2)
Fe1 0.0000 0.5000 0.0000 (multiplicity 6)
Fe2 0.0532 0.3814 0.7500 (multiplicity 12)
Fe3 0.1690 0.3380 0.0208 (multiplicity 12)
Fe4 0.3333 0.6667 0.6070 (multiplicity 4)
N1 0.1640 0.3280 0.2500 (multiplicity 6)